Record 1
The following is a calculated X-ray diffraction stick pattern of Rb3LuO3. It was derived from a DFT-relaxed cell (PBE, the Materials Project), using λ = 1.5418 Å (Cu Kα).

Structure:
```
data_Rb3LuO3
_symmetry_space_group_name_H-M 'P 1 21/c 1'
_symmetry_Int_Tables_number 14
_cell_length_a 7.9183
_cell_length_b 7.3091
_cell_length_c 11.6573
_cell_angle_alpha 90.00
_cell_angle_beta 94.43
_cell_angle_gamma 90.00
loop_
_symmetry_equiv_pos_as_xyz
'x,y,z'
'-x,-y,-z'
'-x,y+1/2,-z+1/2'
'x,-y+1/2,z+1/2'
loop_
_atom_site_label
_atom_site_type_symbol
_atom_site_fract_x
_atom_site_fract_y
_atom_site_fract_z
Rb1 Rb 0.0638 0.1220 0.1548
Rb2 Rb 0.3587 0.1718 0.9220
Rb3 Rb 0.3738 0.6955 0.8076
Lu1 Lu 0.1595 0.5872 0.0661
O1 O 0.1034 0.0483 0.4054
O2 O 0.2514 0.6509 0.5416
O3 O 0.3066 0.0583 0.6868
```

Largest 10 diffraction maxima, sorted by position, 2θ from 10° to 80°:
Position (°2θ)	I (rel.)
14.3	19
17.8	15
26.3	15
26.9	11
27.7	32
28.2	100
29.0	33
33.2	33
33.7	10
36.6	15

Record 2
The following is a calculated X-ray diffraction stick pattern of Rb3LuO3. It was derived from a DFT-relaxed cell (PBE, the Materials Project), using λ = 1.5418 Å (Cu Kα).

Structure:
```
data_Rb3LuO3
_symmetry_space_group_name_H-M 'C 1 2/m 1'
_symmetry_Int_Tables_number 12
_cell_length_a 7.7537
_cell_length_b 12.3415
_cell_length_c 7.2199
_cell_angle_alpha 90.00
_cell_angle_beta 99.98
_cell_angle_gamma 90.00
loop_
_symmetry_equiv_pos_as_xyz
'x,y,z'
'-x,-y,-z'
'-x,y,-z'
'x,-y,z'
'x+1/2,y+1/2,z'
'-x+1/2,-y+1/2,-z'
'-x+1/2,y+1/2,-z'
'x+1/2,-y+1/2,z'
loop_
_atom_site_label
_atom_site_type_symbol
_atom_site_fract_x
_atom_site_fract_y
_atom_site_fract_z
Rb1 Rb 0.0000 0.2004 0.0000
Rb2 Rb 0.0000 0.2619 0.5000
Rb3 Rb 0.1344 0.5000 0.8547
Lu1 Lu 0.1737 0.0000 0.6475
O1 O 0.0994 0.0000 0.3459
O2 O 0.1999 0.3624 0.2329
```

Largest 10 diffraction maxima, sorted by position, 2θ from 10° to 80°:
Position (°2θ)	I (rel.)
14.4	30
17.1	64
26.7	96
27.5	65
28.5	29
29.0	100
31.3	26
31.9	38
36.1	37
36.9	35